The following is a simulated XRD peak list of Sm7Mg. It was derived from a crystal structure in Alexandria, relaxed with PBE, using Cu Kα, 1.54184 Å.
Lines closer than 0.1° are merged.

Principal peaks in the range 2θ = 10–80°, by angle:
15.18 deg, I 7, hkl 1 1 1
17.54 deg, I 4, hkl 2 0 0
24.91 deg, I 3, hkl 2 2 0
29.30 deg, I 4, hkl 3 1 1
30.63 deg, I 100, hkl 2 2 2
35.52 deg, I 51, hkl 4 0 0
51.10 deg, I 36, hkl 4 4 0
60.77 deg, I 43, hkl 6 2 2
63.78 deg, I 12, hkl 4 4 4
75.18 deg, I 6, hkl 8 0 0

Cell and atoms:
a = 10.111 Å, b = 10.111 Å, c = 10.111 Å
α = 90.00°, β = 90.00°, γ = 90.00°
Space group Fm-3m (No. 225)
Inequivalent atoms, fractional coordinates:
Sm: 0.000 0.000 0.000 [4 per cell]
Sm: 0.000 0.250 0.250 [24 per cell]
Mg: 0.000 0.000 0.500 [4 per cell]

The following is a simulated XRD peak list of NaAgSbS2. It was derived from a crystal structure in Alexandria, relaxed with PBE, using Cu Kα, 1.54184 Å.
Lines closer than 0.1° are merged.

Principal peaks in the range 2θ = 10–80°, by angle:
13.03 deg, I 100, hkl 1 0 0
26.24 deg, I 19, hkl 2 0 0
30.14 deg, I 24, hkl 0 1 2
31.12 deg, I 35, hkl 1 1 -2
34.71 deg, I 36, hkl 1 1 2
37.26 deg, I 26, hkl 2 1 -2
39.80 deg, I 12, hkl 3 0 0
42.23 deg, I 17, hkl 1 2 0
43.30 deg, I 15, hkl 2 1 2
46.83 deg, I 13, hkl 3 1 -2

Cell and atoms:
a = 6.921 Å, b = 4.510 Å, c = 8.021 Å
α = 90.00°, β = 101.05°, γ = 90.00°
Space group P2/c (No. 13)
Inequivalent atoms, fractional coordinates:
Na: 0.000 0.152 0.250 [2 per cell]
Ag: 0.500 0.000 0.000 [2 per cell]
Sb: 0.500 0.492 0.750 [2 per cell]
S: 0.224 0.351 0.957 [4 per cell]

The following is a simulated XRD peak list of CdBr3. It was derived from a crystal structure in Alexandria, relaxed with PBE, using Cu Kα, 1.54184 Å.
Lines closer than 0.1° are merged.

Principal peaks in the range 2θ = 10–80°, by angle:
16.18 deg, I 39, hkl 0 0 6
26.56 deg, I 72, hkl 0 1 2
29.38 deg, I 37, hkl 0 1 5
34.06 deg, I 100, hkl 0 1 8
37.92 deg, I 45, hkl 1 0 10
45.85 deg, I 45, hkl 1 1 0
51.88 deg, I 24, hkl 1 0 16
58.33 deg, I 20, hkl 2 0 8
70.11 deg, I 20, hkl 1 1 18
77.19 deg, I 18, hkl 1 2 8

Cell and atoms:
a = 3.9586 Å, b = 3.9586 Å, c = 32.8728 Å
α = 90.00°, β = 90.00°, γ = 120.00°
Space group R-3m (No. 166, hexagonal axes)
Inequivalent atoms, fractional coordinates:
Cd: 0.0000 0.0000 0.0000 [3 per cell]
Br: 0.0000 0.0000 0.3826 [6 per cell]
Br: 0.0000 0.0000 0.5000 [3 per cell]